(1)
Starting from a cell relaxed with PBE, the X-ray powder pattern of Cs2InH4 was simulated for Cu Kα X-rays.
Neutral-atom scattering factors, no anomalous dispersion.

Main lines, sorted by position (2θ from 15° to 90°):
25.1 deg, intensity 100.0
25.7 deg, intensity 46.0
27.8 deg, intensity 83.2
29.8 deg, intensity 38.7
33.3 deg, intensity 8.8
35.7 deg, intensity 17.5
39.7 deg, intensity 29.1
43.2 deg, intensity 12.9
47.2 deg, intensity 18.8
48.3 deg, intensity 12.6
50.1 deg, intensity 14.7
51.7 deg, intensity 14.6

Structural model:
```
Cs2InH4
1.0
7.631 -3.000 0.000
7.631 3.000 0.000
-3.977 0.000 6.930
Cs In H
4 2 8
direct
0.029 0.029 0.267
0.326 0.326 0.212
0.674 0.674 0.788
0.971 0.971 0.733
0.310 0.310 0.701
0.690 0.690 0.299
0.124 0.592 0.879
0.175 0.175 0.696
0.408 0.876 0.121
0.421 0.421 0.643
0.579 0.579 0.357
0.592 0.124 0.879
0.825 0.825 0.304
0.876 0.408 0.121
```

---

(2)
Starting from a cell relaxed with PBE, the X-ray powder pattern of Cs2InH was simulated for Cu Kα X-rays.
Neutral-atom scattering factors, no anomalous dispersion.

Main lines, sorted by position (2θ from 15° to 90°):
23.6 deg, intensity 54.8
25.0 deg, intensity 100.0
25.4 deg, intensity 25.9
27.0 deg, intensity 13.2
31.0 deg, intensity 15.5
32.7 deg, intensity 51.5
36.4 deg, intensity 37.1
43.7 deg, intensity 31.7
50.3 deg, intensity 41.4
51.0 deg, intensity 13.9
52.4 deg, intensity 13.2
67.1 deg, intensity 17.5

Structural model:
```
Cs2InH
1.0
4.141 0.000 0.000
-2.070 3.586 0.000
0.000 0.000 33.977
Cs In H
6 3 3
direct
0.000 0.000 0.111
0.000 0.000 0.889
0.333 0.667 0.555
0.333 0.667 0.778
0.667 0.333 0.222
0.667 0.333 0.445
0.000 0.000 0.000
0.333 0.667 0.667
0.667 0.333 0.333
0.000 0.000 0.500
0.333 0.667 0.167
0.667 0.333 0.833
```

---

(3)
Starting from a cell relaxed with PBE, the X-ray powder pattern of Cs2In2H7 was simulated for Cu Kα X-rays.
Neutral-atom scattering factors, no anomalous dispersion.

Main lines, sorted by position (2θ from 15° to 90°):
25.1 deg, intensity 100.0
25.7 deg, intensity 46.1
27.1 deg, intensity 83.0
28.7 deg, intensity 36.8
35.6 deg, intensity 19.5
35.9 deg, intensity 19.7
43.6 deg, intensity 21.0
44.4 deg, intensity 19.8
46.4 deg, intensity 17.9
47.4 deg, intensity 34.6
51.1 deg, intensity 14.0
51.5 deg, intensity 12.9

Structural model:
```
Cs2In2H7
1.0
4.358 -5.042 0.000
4.358 5.042 0.000
-0.550 0.000 5.005
Cs In H
2 2 7
direct
0.238 0.762 0.000
0.762 0.238 0.000
0.239 0.239 0.522
0.761 0.761 0.478
0.000 0.000 0.500
0.182 0.476 0.415
0.268 0.268 0.886
0.476 0.182 0.415
0.524 0.818 0.585
0.732 0.732 0.114
0.818 0.524 0.585
```

---

(4)
Starting from a cell relaxed with PBE, the X-ray powder pattern of Cs2InH6 was simulated for Cu Kα X-rays.
Neutral-atom scattering factors, no anomalous dispersion.

Main lines, sorted by position (2θ from 15° to 90°):
18.6 deg, intensity 26.9
23.9 deg, intensity 100.0
28.8 deg, intensity 96.2
30.8 deg, intensity 44.3
37.8 deg, intensity 31.6
42.7 deg, intensity 18.4
45.6 deg, intensity 12.5
47.0 deg, intensity 13.7
48.2 deg, intensity 29.2
51.1 deg, intensity 19.1
52.3 deg, intensity 19.6
59.7 deg, intensity 12.3

Structural model:
```
Cs2InH6
1.0
6.193 0.000 0.000
-3.096 5.363 0.000
0.000 0.000 10.359
Cs In H
4 2 12
direct
0.000 0.000 0.000
0.000 0.000 0.500
0.333 0.667 0.277
0.667 0.333 0.777
0.333 0.667 0.654
0.667 0.333 0.154
0.045 0.522 0.543
0.183 0.367 0.752
0.183 0.817 0.752
0.367 0.183 0.252
0.478 0.522 0.543
0.478 0.955 0.543
0.522 0.045 0.043
0.522 0.478 0.043
0.633 0.817 0.752
0.817 0.183 0.252
0.817 0.633 0.252
0.955 0.478 0.043
```

---

(5)
Starting from a cell relaxed with PBE, the X-ray powder pattern of Cs2InH4 was simulated for Cu Kα X-rays.
Neutral-atom scattering factors, no anomalous dispersion.

Main lines, sorted by position (2θ from 15° to 90°):
16.6 deg, intensity 13.7
17.2 deg, intensity 19.7
20.0 deg, intensity 14.9
27.4 deg, intensity 100.0
27.7 deg, intensity 24.0
29.1 deg, intensity 22.2
37.7 deg, intensity 10.9
40.6 deg, intensity 17.2
47.4 deg, intensity 10.4
48.9 deg, intensity 18.2
50.5 deg, intensity 18.1
56.6 deg, intensity 12.6

Structural model:
```
Cs2InH4
1.0
6.141 0.000 0.000
0.000 9.547 0.000
0.000 0.000 6.430
Cs In H
4 2 8
direct
0.250 0.008 0.230
0.250 0.492 0.230
0.750 0.508 0.770
0.750 0.992 0.770
0.250 0.250 0.742
0.750 0.750 0.258
0.020 0.250 0.928
0.250 0.047 0.705
0.250 0.453 0.705
0.480 0.250 0.928
0.520 0.750 0.072
0.750 0.547 0.295
0.750 0.953 0.295
0.980 0.750 0.072
```

---

(6)
Starting from a cell relaxed with PBE, the X-ray powder pattern of Cs3In2H6 was simulated for Cu Kα X-rays.
Neutral-atom scattering factors, no anomalous dispersion.

Main lines, sorted by position (2θ from 15° to 90°):
20.1 deg, intensity 13.3
23.6 deg, intensity 100.0
25.4 deg, intensity 18.0
26.1 deg, intensity 41.3
27.5 deg, intensity 17.6
29.5 deg, intensity 25.9
33.9 deg, intensity 12.6
38.6 deg, intensity 23.6
44.4 deg, intensity 11.0
47.0 deg, intensity 18.3
48.9 deg, intensity 12.9
49.3 deg, intensity 21.9

Structural model:
```
Cs3In2H6
1.0
6.060 0.000 0.000
0.000 8.832 0.000
0.000 0.000 11.495
Cs In H
6 4 12
direct
0.000 0.000 0.000
0.000 0.500 0.195
0.000 0.500 0.805
0.500 0.000 0.305
0.500 0.000 0.695
0.500 0.500 0.500
0.025 0.163 0.500
0.475 0.663 0.000
0.525 0.337 0.000
0.975 0.837 0.500
0.158 0.266 0.378
0.158 0.266 0.622
0.241 0.270 0.000
0.259 0.770 0.500
0.342 0.766 0.122
0.342 0.766 0.878
0.658 0.234 0.122
0.658 0.234 0.878
0.741 0.230 0.500
0.759 0.730 0.000
0.842 0.734 0.378
0.842 0.734 0.622
```

---

(7)
Starting from a cell relaxed with PBE, the X-ray powder pattern of Cs2InH3 was simulated for Cu Kα X-rays.
Neutral-atom scattering factors, no anomalous dispersion.

Main lines, sorted by position (2θ from 15° to 90°):
24.9 deg, intensity 100.0
26.9 deg, intensity 24.8
30.2 deg, intensity 70.4
34.3 deg, intensity 18.7
34.4 deg, intensity 41.9
36.7 deg, intensity 15.0
44.2 deg, intensity 12.8
49.3 deg, intensity 12.8
49.5 deg, intensity 12.3
51.2 deg, intensity 11.2
53.0 deg, intensity 13.1
53.2 deg, intensity 12.7

Structural model:
```
Cs2InH3
1.0
8.218 -2.607 0.000
8.218 2.607 0.000
-3.329 0.000 6.639
Cs In H
4 2 6
direct
0.149 0.149 0.148
0.149 0.149 0.648
0.851 0.851 0.352
0.851 0.851 0.852
0.485 0.515 0.750
0.515 0.485 0.250
0.120 0.880 0.750
0.343 0.361 0.603
0.361 0.343 0.103
0.639 0.657 0.897
0.657 0.639 0.397
0.880 0.120 0.250
```

---

(8)
Starting from a cell relaxed with PBE, the X-ray powder pattern of CsInH2Se2O8 was simulated for Cu Kα X-rays.
Neutral-atom scattering factors, no anomalous dispersion.

Main lines, sorted by position (2θ from 15° to 90°):
20.5 deg, intensity 100.0
24.3 deg, intensity 29.3
26.2 deg, intensity 53.0
27.0 deg, intensity 20.4
29.6 deg, intensity 14.7
30.4 deg, intensity 30.7
30.9 deg, intensity 30.8
34.7 deg, intensity 29.2
36.9 deg, intensity 13.9
39.1 deg, intensity 12.7
40.3 deg, intensity 18.7
41.8 deg, intensity 17.5

Structural model:
```
CsInH2Se2O8
1.0
5.290 -7.985 0.000
5.290 7.985 0.000
-3.813 0.000 6.609
Cs In H Se O
2 2 4 4 16
direct
0.100 0.900 0.750
0.900 0.100 0.250
0.257 0.743 0.250
0.743 0.257 0.750
0.451 0.505 0.777
0.495 0.549 0.723
0.505 0.451 0.277
0.549 0.495 0.223
0.102 0.373 0.852
0.373 0.102 0.352
0.627 0.898 0.648
0.898 0.627 0.148
0.013 0.706 0.029
0.044 0.613 0.321
0.166 0.254 0.742
0.254 0.166 0.242
0.268 0.568 0.017
0.294 0.987 0.471
0.387 0.956 0.179
0.432 0.732 0.483
0.568 0.268 0.517
0.613 0.044 0.821
0.706 0.013 0.529
0.732 0.432 0.983
0.746 0.834 0.758
0.834 0.746 0.258
0.956 0.387 0.679
0.987 0.294 0.971
```